# CaFeGe4O12
Simulated X-ray diffraction stick pattern, λ = 1.5418 Å (Cu Kα). Input: a DFT-relaxed cell (PBE+U, Alexandria).

abc: 7.4122 5.2692 5.2692
angles: 97.92 90.00 90.00
Fractional coordinates of all 18 atoms:
Ca1 0.0000 0.0000 0.0000
Fe1 0.5000 0.3489 0.3489
Ge1 0.2545 0.4537 0.8909
Ge2 0.2545 0.8909 0.4537
Ge3 0.7455 0.4537 0.8909
Ge4 0.7455 0.8909 0.4537
O1 0.0000 0.4658 0.8795
O2 0.0000 0.8795 0.4658
O3 0.2411 0.1133 0.7537
O4 0.2415 0.2402 0.2402
O5 0.2411 0.7537 0.1133
O6 0.3126 0.5847 0.5847
O7 0.5000 0.4226 0.9927
O8 0.5000 0.9927 0.4226
O9 0.6874 0.5847 0.5847
O10 0.7589 0.1133 0.7537
O11 0.7585 0.2402 0.2402
O12 0.7589 0.7537 0.1133

Most intense lines, 2θ from 5° to 70°, sorted by position:
d/Å, I_rel
4.267, 74
3.974, 66
3.706, 82
3.460, 80
2.710, 100
2.609, 96
2.529, 63
2.474, 48
1.853, 51
1.511, 38